Entry 1:
Structure and theoretical PXRD pattern of MgTi4Cd2O10 (the GGA-PBE geometry in the Materials Project; Cu Kα (weighted mean of Kα1 and Kα2)).

abc: 11.4920 5.8766 5.8766
angles: 34.30 90.00 90.00
Positions (direct):
Mg 0.0000 0.0000 0.0000
Ti 0.1981 0.3896 0.3896
Ti 0.3342 0.6063 0.6063
Ti 0.6658 0.6063 0.6063
Ti 0.8019 0.3896 0.3896
Cd 0.0000 0.7080 0.7080
Cd 0.5000 0.3009 0.3009
O 0.0000 0.3996 0.3996
O 0.1734 0.5497 0.5497
O 0.1860 0.8294 0.8294
O 0.3178 0.1748 0.1748
O 0.3633 0.4433 0.4433
O 0.5000 0.6681 0.6681
O 0.6367 0.4433 0.4433
O 0.6822 0.1748 0.1748
O 0.8140 0.8294 0.8294
O 0.8266 0.5497 0.5497

Most intense lines, 2θ from 10° to 80°, by intensity:
two_theta, d_spacing, I/Imax
28.20, 3.164, 100
28.04, 3.182, 89
26.93, 3.311, 85
22.13, 4.016, 80
35.85, 2.505, 69
38.72, 2.326, 53
36.18, 2.483, 53
50.99, 1.791, 51
47.47, 1.915, 36
47.76, 1.904, 35

Entry 2:
Structure and theoretical PXRD pattern of Li8Al3Si5 (the GGA-PBE geometry in the Materials Project; Cu Kα (weighted mean of Kα1 and Kα2)).

abc: 6.2593 6.2593 6.2593
angles: 90.00 90.00 90.00
Positions (direct):
Li 0.0000 0.0000 0.0000
Li 0.0000 0.5000 0.5000
Li 0.2536 0.2536 0.7464
Li 0.2536 0.7464 0.2536
Li 0.5000 0.0000 0.5000
Li 0.5000 0.5000 0.0000
Li 0.7464 0.2536 0.2536
Li 0.7464 0.7464 0.7464
Al 0.0000 0.0000 0.5000
Al 0.0000 0.5000 0.0000
Al 0.5000 0.0000 0.0000
Si 0.2471 0.2471 0.2471
Si 0.2471 0.7529 0.7529
Si 0.5000 0.5000 0.5000
Si 0.7529 0.2471 0.7529
Si 0.7529 0.7529 0.2471

Most intense lines, 2θ from 10° to 80°, by intensity:
two_theta, d_spacing, I/Imax
40.77, 2.213, 100
24.63, 3.614, 67
74.22, 1.278, 33
48.22, 1.887, 28
59.03, 1.565, 16
64.94, 1.436, 12
79.58, 1.205, 9

Entry 3:
Structure and theoretical PXRD pattern of SmI3O9 (the GGA-PBE geometry in the Materials Project; Cu Kα (weighted mean of Kα1 and Kα2)).

abc: 7.3474 8.7337 13.7030
angles: 90.00 99.72 90.00
Positions (direct):
Sm 0.1744 0.2438 0.1446
Sm 0.1744 0.2562 0.6446
Sm 0.8256 0.7438 0.3554
Sm 0.8256 0.7562 0.8554
I 0.1657 0.7027 0.1080
I 0.1657 0.7973 0.6080
I 0.2650 0.0238 0.8907
I 0.2650 0.4762 0.3907
I 0.3276 0.5497 0.8546
I 0.3276 0.9503 0.3546
I 0.6724 0.0497 0.6454
I 0.6724 0.4503 0.1454
I 0.7350 0.5238 0.6093
I 0.7350 0.9762 0.1093
I 0.8343 0.2027 0.3920
I 0.8343 0.2973 0.8920
O 0.0232 0.5265 0.3893
O 0.0232 0.9735 0.8893
O 0.0352 0.1662 0.4873
O 0.0352 0.3338 0.9873
O 0.1429 0.6914 0.8226
O 0.1429 0.8086 0.3226
O 0.1653 0.5258 0.1800
O 0.1653 0.9742 0.6800
O 0.2283 0.2077 0.8243
O 0.2283 0.2923 0.3243
O 0.3214 0.0844 0.0193
O 0.3214 0.4156 0.5193
O 0.3305 0.0284 0.2307
O 0.3305 0.4716 0.7307
O 0.3546 0.6652 0.0401
O 0.3546 0.8348 0.5401
O 0.4801 0.1802 0.6443
O 0.4801 0.3198 0.1443
O 0.5199 0.6802 0.8557
O 0.5199 0.8198 0.3557
O 0.6454 0.1652 0.4599
O 0.6454 0.3348 0.9599
O 0.6695 0.5284 0.2693
O 0.6695 0.9716 0.7693
O 0.6786 0.5844 0.4807
O 0.6786 0.9156 0.9807
O 0.7717 0.7077 0.6757
O 0.7717 0.7923 0.1757
O 0.8347 0.0258 0.3200
O 0.8347 0.4742 0.8200
O 0.8571 0.1914 0.6774
O 0.8571 0.3086 0.1774
O 0.9648 0.6662 0.0127
O 0.9648 0.8338 0.5127
O 0.9768 0.0265 0.1107
O 0.9768 0.4735 0.6107

Most intense lines, 2θ from 10° to 80°, by intensity:
two_theta, d_spacing, I/Imax
28.28, 3.156, 100
26.21, 3.399, 88
26.40, 3.376, 79
24.59, 3.621, 44
23.77, 3.744, 43
25.88, 3.442, 39
25.26, 3.526, 32
42.80, 2.113, 29
49.02, 1.858, 19
29.90, 2.988, 19

Entry 4:
Structure and theoretical PXRD pattern of Pr5AgSe8 (the GGA-PBE geometry in the Materials Project; Cu Kα (weighted mean of Kα1 and Kα2)).

abc: 7.7965 7.7965 7.7965
angles: 109.89 109.89 108.64
Positions (direct):
Pr 0.0000 0.0000 0.0000
Pr 0.1325 0.2492 0.6210
Pr 0.4884 0.8675 0.1166
Pr 0.6282 0.5116 0.3790
Pr 0.7508 0.3718 0.8834
Ag 0.2500 0.7500 0.5000
Se 0.0124 0.6174 0.7577
Se 0.2261 0.4779 0.1115
Se 0.3664 0.1146 0.8885
Se 0.3826 0.1403 0.3950
Se 0.5221 0.6336 0.7482
Se 0.7453 0.9876 0.6050
Se 0.8597 0.2547 0.2423
Se 0.8854 0.7739 0.2518

Most intense lines, 2θ from 10° to 80°, by intensity:
two_theta, d_spacing, I/Imax
31.56, 2.834, 100
31.15, 2.871, 48
37.20, 2.417, 34
37.41, 2.404, 29
37.53, 2.396, 29
24.28, 3.666, 22
64.03, 1.454, 21
47.31, 1.921, 17
24.09, 3.694, 13
78.40, 1.220, 13